(1)
Ta2Mn4O9: simulated powder XRD pattern (copper Kα), based on DFT lattice parameters and positions (PBE+U).
Intensities are scaled so that the largest is 100.

Principal peaks in the range 10 to 80 degrees two-theta, in order of rising 2θ:
2θ/deg	Rel. int.
18.66	14
22.67	70
31.44	100
33.03	57
33.19	28
46.16	14
46.35	28
50.97	26
57.99	24
59.19	18

Atomic structure:
```
data_Ta2Mn4O9
_cell_length_a 10.0515
_cell_length_b 5.3989
_cell_length_c 13.4184
_cell_angle_alpha 90.00
_cell_angle_beta 92.61
_cell_angle_gamma 90.00
_space_group_name_H-M_alt 'C 1 c 1'
_space_group_IT_number 9
loop_
_space_group_symop_operation_xyz
'x,y,z'
'x,-y,z+1/2'
'x+1/2,y+1/2,z'
'x+1/2,-y+1/2,z+1/2'
loop_
_atom_site_label
_atom_site_type_symbol
_atom_site_fract_x
_atom_site_fract_y
_atom_site_fract_z
_atom_site_occupancy
Ta1 Ta 0.0000 0.0059 0.0000 1
Ta2 Ta 0.1643 0.4909 0.3250 1
Mn1 Mn 0.1203 0.4993 0.5911 1
Mn2 Mn 0.2907 0.0059 0.9269 1
Mn3 Mn 0.3252 0.0007 0.1658 1
Mn4 Mn 0.4504 0.4930 0.2575 1
O1 O 0.0199 0.3678 0.2434 1
O2 O 0.0835 0.1849 0.8689 1
O3 O 0.1169 0.3060 0.4499 1
O4 O 0.1738 0.1254 0.0598 1
O5 O 0.2436 0.3440 0.7094 1
O6 O 0.2890 0.2141 0.2966 1
O7 O 0.3522 0.3812 0.9075 1
O8 O 0.4153 0.1913 0.5326 1
O9 O 0.4618 0.3122 0.1150 1
```



(2)
MgMn6O7F5: simulated powder XRD pattern (copper Kα), based on DFT lattice parameters and positions (PBE+U).
Intensities are scaled so that the largest is 100.

Principal peaks in the range 10 to 80 degrees two-theta, in order of rising 2θ:
2θ/deg	Rel. int.
22.77	100
27.93	80
34.90	22
35.10	26
35.27	28
35.42	26
48.67	23
49.21	23
54.58	35
61.78	23

Atomic structure:
```
data_MgMn6O7F5
_cell_length_a 5.7918
_cell_length_b 6.0155
_cell_length_c 7.7417
_cell_angle_alpha 106.56
_cell_angle_beta 97.85
_cell_angle_gamma 114.44
_space_group_name_H-M_alt 'P 1'
_space_group_IT_number 1
loop_
_space_group_symop_operation_xyz
'x,y,z'
loop_
_atom_site_label
_atom_site_type_symbol
_atom_site_fract_x
_atom_site_fract_y
_atom_site_fract_z
_atom_site_occupancy
Mg1 Mg 0.0000 0.0000 0.0000 1
Mn1 Mn 0.0102 0.0095 0.4968 1
Mn2 Mn 0.0258 0.5015 0.9879 1
Mn3 Mn 0.3568 0.5254 0.3431 1
Mn4 Mn 0.3716 0.9769 0.8028 1
Mn5 Mn 0.6490 0.0805 0.2086 1
Mn6 Mn 0.6780 0.4810 0.6411 1
O1 O 0.0378 0.1714 0.2962 1
O2 O 0.2891 0.8748 0.0189 1
O3 O 0.3842 0.1611 0.6290 1
O4 O 0.5933 0.3807 0.3785 1
O5 O 0.6403 0.8534 0.3576 1
O6 O 0.7352 0.1509 0.9794 1
O7 O 0.9822 0.8457 0.6967 1
F1 F 0.1028 0.6556 0.2866 1
F2 F 0.2826 0.3466 0.0328 1
F3 F 0.4175 0.6635 0.6371 1
F4 F 0.7413 0.6282 0.9273 1
F5 F 0.9476 0.3365 0.6964 1
```



(3)
FeW2O8: simulated powder XRD pattern (copper Kα), based on DFT lattice parameters and positions (PBE+U).
Intensities are scaled so that the largest is 100.

Principal peaks in the range 10 to 80 degrees two-theta, in order of rising 2θ:
2θ/deg	Rel. int.
14.94	28
18.76	97
23.09	100
24.06	48
29.39	92
30.43	81
35.07	32
39.61	27
40.46	29
63.37	29

Atomic structure:
```
data_FeW2O8
_cell_length_a 9.4712
_cell_length_b 11.8617
_cell_length_c 5.0696
_cell_angle_alpha 90.00
_cell_angle_beta 92.60
_cell_angle_gamma 90.00
_space_group_name_H-M_alt 'C 1 2/c 1'
_space_group_IT_number 15
loop_
_space_group_symop_operation_xyz
'x,y,z'
'-x,-y,-z'
'-x,y,-z+1/2'
'x,-y,z+1/2'
'x+1/2,y+1/2,z'
'-x+1/2,-y+1/2,-z'
'-x+1/2,y+1/2,-z+1/2'
'x+1/2,-y+1/2,z+1/2'
loop_
_atom_site_label
_atom_site_type_symbol
_atom_site_fract_x
_atom_site_fract_y
_atom_site_fract_z
_atom_site_occupancy
Fe1 Fe 0.0000 0.1741 0.2500 1
W1 W 0.2498 0.0890 0.7691 1
O1 O 0.1129 0.1708 0.5823 1
O2 O 0.1277 0.3013 0.1285 1
O3 O 0.1366 0.0650 0.0870 1
O4 O 0.1521 0.4607 0.5301 1
```



(4)
LiFeP4O12: simulated powder XRD pattern (copper Kα), based on DFT lattice parameters and positions (PBE+U).
Intensities are scaled so that the largest is 100.

Principal peaks in the range 10 to 80 degrees two-theta, in order of rising 2θ:
2θ/deg	Rel. int.
16.06	51
16.50	78
18.46	74
23.20	100
27.00	93
27.33	89
28.32	56
29.37	36
31.69	68
32.45	44

Atomic structure:
```
data_LiFeP4O12
_cell_length_a 8.0923
_cell_length_b 11.4483
_cell_length_c 9.6167
_cell_angle_alpha 90.00
_cell_angle_beta 92.02
_cell_angle_gamma 90.00
_space_group_name_H-M_alt 'C 1 2/c 1'
_space_group_IT_number 15
loop_
_space_group_symop_operation_xyz
'x,y,z'
'-x,-y,-z'
'-x,y,-z+1/2'
'x,-y,z+1/2'
'x+1/2,y+1/2,z'
'-x+1/2,-y+1/2,-z'
'-x+1/2,y+1/2,-z+1/2'
'x+1/2,-y+1/2,z+1/2'
loop_
_atom_site_label
_atom_site_type_symbol
_atom_site_fract_x
_atom_site_fract_y
_atom_site_fract_z
_atom_site_occupancy
Li1 Li 0.0000 0.1657 0.2500 1
Fe1 Fe 0.0000 0.1149 0.7500 1
P1 P 0.0534 0.3234 0.5331 1
P2 P 0.2400 0.0389 0.0282 1
O1 O 0.0077 0.2773 0.3942 1
O2 O 0.0947 0.4037 0.9066 1
O3 O 0.1107 0.2416 0.6487 1
O4 O 0.1265 0.0203 0.1489 1
O5 O 0.1725 0.1083 0.9063 1
O6 O 0.2034 0.4163 0.5318 1
```



(5)
CaV4Pd3O12: simulated powder XRD pattern (copper Kα), based on DFT lattice parameters and positions (PBE+U).
Intensities are scaled so that the largest is 100.

Principal peaks in the range 10 to 80 degrees two-theta, in order of rising 2θ:
2θ/deg	Rel. int.
16.64	9
23.62	8
29.03	8
33.65	100
37.76	5
41.52	11
48.32	28
54.47	4
60.17	47
70.74	14

Atomic structure:
```
data_CaV4Pd3O12
_cell_length_a 7.5338
_cell_length_b 7.5338
_cell_length_c 7.5338
_cell_angle_alpha 90.00
_cell_angle_beta 90.00
_cell_angle_gamma 90.00
_space_group_name_H-M_alt 'I m -3'
_space_group_IT_number 204
_space_group_name_Hall '-I 2 2 3'
loop_
_atom_site_label
_atom_site_type_symbol
_atom_site_fract_x
_atom_site_fract_y
_atom_site_fract_z
_atom_site_occupancy
Ca1 Ca 0.0000 0.0000 0.0000 1
V1 V 0.2500 0.2500 0.2500 1
Pd1 Pd 0.0000 0.0000 0.5000 1
O1 O 0.0000 0.1812 0.2957 1
```



(6)
Li4Ti3Cr3Sb2O16: simulated powder XRD pattern (copper Kα), based on DFT lattice parameters and positions (PBE+U).
Intensities are scaled so that the largest is 100.

Principal peaks in the range 10 to 80 degrees two-theta, in order of rising 2θ:
2θ/deg	Rel. int.
19.19	100
19.29	20
24.52	33
31.53	48
34.71	51
34.88	23
35.68	25
38.95	19
57.53	18
62.04	20

Atomic structure:
```
data_Li4Ti3Cr3Sb2O16
_cell_length_a 10.3511
_cell_length_b 6.0055
_cell_length_c 10.1550
_cell_angle_alpha 90.00
_cell_angle_beta 90.32
_cell_angle_gamma 90.00
_space_group_name_H-M_alt 'C 1 m 1'
_space_group_IT_number 8
loop_
_space_group_symop_operation_xyz
'x,y,z'
'x,-y,z'
'x+1/2,y+1/2,z'
'x+1/2,-y+1/2,z'
loop_
_atom_site_label
_atom_site_type_symbol
_atom_site_fract_x
_atom_site_fract_y
_atom_site_fract_z
_atom_site_occupancy
Li1 Li 0.0000 0.0000 0.0000 1
Li2 Li 0.0003 0.0000 0.4959 1
Li3 Li 0.1662 0.5000 0.0937 1
Li4 Li 0.3336 0.0000 0.5989 1
Ti1 Ti 0.0896 0.2564 0.7743 1
Ti2 Ti 0.1724 0.0000 0.2690 1
Cr1 Cr 0.3318 0.5000 0.7849 1
Cr2 Cr 0.4163 0.2461 0.2711 1
Sb1 Sb 0.1700 0.5000 0.4809 1
Sb2 Sb 0.3368 0.0000 0.9990 1
O1 O 0.0015 0.0000 0.6844 1
O2 O 0.0029 0.0000 0.1795 1
O3 O 0.0112 0.5000 0.6763 1
O4 O 0.0819 0.2334 0.3811 1
O5 O 0.1567 0.0000 0.8953 1
O6 O 0.1622 0.5000 0.8852 1
O7 O 0.2403 0.2593 0.6766 1
O8 O 0.2552 0.2222 0.1547 1
O9 O 0.3294 0.0000 0.3782 1
O10 O 0.3446 0.5000 0.3821 1
O11 O 0.4228 0.2633 0.8958 1
O12 O 0.4836 0.0000 0.1544 1
```



(7)
Li2Ti2Fe3O10: simulated powder XRD pattern (copper Kα), based on DFT lattice parameters and positions (PBE+U).
Intensities are scaled so that the largest is 100.

Principal peaks in the range 10 to 80 degrees two-theta, in order of rising 2θ:
2θ/deg	Rel. int.
11.92	100
17.82	40
18.10	86
22.56	25
26.83	32
27.21	24
38.60	60
44.12	45
44.89	43
59.58	22

Atomic structure:
```
data_Li2Ti2Fe3O10
_cell_length_a 5.1191
_cell_length_b 5.2159
_cell_length_c 7.8085
_cell_angle_alpha 75.67
_cell_angle_beta 76.39
_cell_angle_gamma 77.31
_space_group_name_H-M_alt 'P -1'
_space_group_IT_number 2
loop_
_space_group_symop_operation_xyz
'x,y,z'
'-x,-y,-z'
loop_
_atom_site_label
_atom_site_type_symbol
_atom_site_fract_x
_atom_site_fract_y
_atom_site_fract_z
_atom_site_occupancy
Li1 Li 0.0412 0.2821 0.3942 1
Ti1 Ti 0.4897 0.6285 0.3177 1
Fe1 Fe 0.0000 0.5000 0.0000 1
Fe2 Fe 0.4683 0.8111 0.8925 1
O1 O 0.2146 0.6860 0.7890 1
O2 O 0.2740 0.4315 0.5136 1
O3 O 0.2822 0.5392 0.1420 1
O4 O 0.2840 0.1788 0.9359 1
O5 O 0.3240 0.9746 0.3194 1
```